Theoretical X-ray powder pattern
Compound: K2Na3Hg6
Radiation: a wavelength of 1.5418 Å
Structure: the PBE geometry in Alexandria
Kinematic intensities with the Lorentz-polarization factor, no thermal factor.

The 10 most intense peaks (5 to 70 degrees two-theta), in order of rising 2θ:
d/Å, 2θ (°), I/Imax
5.829, 15.2, 34
4.657, 19.1, 100
4.308, 20.6, 32
3.638, 24.5, 32
3.162, 28.2, 56
2.979, 30.0, 73
2.510, 35.8, 86
2.328, 38.7, 33
2.075, 43.6, 27
1.835, 49.7, 37

Structural model:
a = 9.0741 Å, b = 9.0741 Å, c = 4.6571 Å
α = 90.00°, β = 90.00°, γ = 100.06°
Atoms (fractional coordinates):
1 K 0.2004 0.7996 0.0000
2 K 0.7996 0.2004 0.0000
3 Na 0.2969 0.2969 0.0000
4 Na 0.5000 0.5000 0.5000
5 Na 0.7031 0.7031 0.0000
6 Hg 0.1246 0.1246 0.5000
7 Hg 0.1527 0.4723 0.5000
8 Hg 0.4723 0.1527 0.5000
9 Hg 0.5277 0.8473 0.5000
10 Hg 0.8473 0.5277 0.5000
11 Hg 0.8754 0.8754 0.5000

=====

Theoretical X-ray powder pattern
Compound: K7NaHg2
Radiation: a wavelength of 1.5418 Å
Structure: the PBE geometry in Alexandria
Kinematic intensities with the Lorentz-polarization factor, no thermal factor.

The 10 most intense peaks (5 to 70 degrees two-theta), in order of rising 2θ:
d/Å, 2θ (°), I/Imax
14.686, 6.0, 76
5.961, 14.9, 38
5.170, 17.2, 100
4.227, 21.0, 42
3.232, 27.6, 92
3.044, 29.3, 51
2.793, 32.0, 33
2.623, 34.2, 39
1.907, 47.7, 26
1.791, 51.0, 32

Structural model:
a = 15.3039 Å, b = 15.3039 Å, c = 15.3039 Å
α = 157.06°, β = 157.06°, γ = 32.67°
Atoms (fractional coordinates):
1 K 0.0000 0.0000 0.0000
2 K 0.1082 0.6082 0.5000
3 K 0.2500 0.7500 0.5000
4 K 0.3918 0.8918 0.5000
5 K 0.6082 0.1082 0.5000
6 K 0.7500 0.2500 0.5000
7 K 0.8918 0.3918 0.5000
8 Na 0.5000 0.5000 0.0000
9 Hg 0.1757 0.1757 0.0000
10 Hg 0.8243 0.8243 0.0000

=====

Theoretical X-ray powder pattern
Compound: K3Na3Hg
Radiation: a wavelength of 1.5418 Å
Structure: the PBE geometry in Alexandria
Kinematic intensities with the Lorentz-polarization factor, no thermal factor.

The 10 most intense peaks (5 to 70 degrees two-theta), in order of rising 2θ:
d/Å, 2θ (°), I/Imax
10.661, 8.3, 68
6.155, 14.4, 52
5.331, 16.6, 25
4.571, 19.4, 57
4.030, 22.1, 14
3.152, 28.3, 100
3.078, 29.0, 37
2.553, 35.2, 39
2.202, 41.0, 22
1.954, 46.5, 19

Structural model:
a = 12.3108 Å, b = 12.3108 Å, c = 5.0591 Å
α = 90.00°, β = 90.00°, γ = 120.00°
Atoms (fractional coordinates):
1 K 0.1641 0.3283 0.2500
2 K 0.1641 0.8359 0.2500
3 K 0.3283 0.1641 0.7500
4 K 0.6717 0.8359 0.2500
5 K 0.8359 0.1641 0.7500
6 K 0.8359 0.6717 0.7500
7 Na 0.1323 0.5662 0.7500
8 Na 0.4338 0.5662 0.7500
9 Na 0.4338 0.8677 0.7500
10 Na 0.5662 0.1323 0.2500
11 Na 0.5662 0.4338 0.2500
12 Na 0.8677 0.4338 0.2500
13 Hg 0.3333 0.6667 0.2500
14 Hg 0.6667 0.3333 0.7500

=====

Theoretical X-ray powder pattern
Compound: KNa2Hg6
Radiation: a wavelength of 1.5418 Å
Structure: the PBE geometry in Alexandria
Kinematic intensities with the Lorentz-polarization factor, no thermal factor.

The 10 most intense peaks (5 to 70 degrees two-theta), in order of rising 2θ:
d/Å, 2θ (°), I/Imax
4.603, 19.3, 60
3.398, 26.2, 47
2.734, 32.8, 62
2.658, 33.7, 100
2.093, 43.2, 76
1.906, 47.7, 22
1.549, 59.7, 22
1.534, 60.3, 19
1.431, 65.2, 30
1.398, 66.9, 21

Structural model:
a = 9.2060 Å, b = 9.2060 Å, c = 3.3978 Å
α = 90.00°, β = 90.00°, γ = 120.00°
Atoms (fractional coordinates):
1 K 0.0000 0.0000 0.0000
2 Na 0.3333 0.6667 0.0000
3 Na 0.6667 0.3333 0.0000
4 Hg 0.0000 0.3382 0.5000
5 Hg 0.0000 0.6618 0.5000
6 Hg 0.3382 0.0000 0.5000
7 Hg 0.3382 0.3382 0.5000
8 Hg 0.6618 0.0000 0.5000
9 Hg 0.6618 0.6618 0.5000

=====

Theoretical X-ray powder pattern
Compound: KNa4Hg
Radiation: a wavelength of 1.5418 Å
Structure: the PBE geometry in Alexandria
Kinematic intensities with the Lorentz-polarization factor, no thermal factor.

The 10 most intense peaks (5 to 70 degrees two-theta), in order of rising 2θ:
d/Å, 2θ (°), I/Imax
6.802, 13.0, 100
5.102, 17.4, 36
4.957, 17.9, 29
4.006, 22.2, 44
3.555, 25.0, 36
3.188, 28.0, 38
2.915, 30.7, 17
2.804, 31.9, 41
2.681, 33.4, 33
2.268, 39.7, 18

Structural model:
a = 10.2037 Å, b = 4.9565 Å, c = 9.1250 Å
α = 90.00°, β = 90.00°, γ = 90.00°
Atoms (fractional coordinates):
1 K 0.2500 0.0000 0.1010
2 K 0.7500 0.0000 0.8990
3 Na 0.0000 0.0000 0.5000
4 Na 0.0667 0.5000 0.8004
5 Na 0.2500 0.5000 0.4648
6 Na 0.4333 0.5000 0.8004
7 Na 0.5000 0.0000 0.5000
8 Na 0.5667 0.5000 0.1996
9 Na 0.7500 0.5000 0.5352
10 Na 0.9333 0.5000 0.1996
11 Hg 0.2500 0.0000 0.7055
12 Hg 0.7500 0.0000 0.2945

=====

Theoretical X-ray powder pattern
Compound: KNa10Hg3
Radiation: a wavelength of 1.5418 Å
Structure: the PBE geometry in Alexandria
Kinematic intensities with the Lorentz-polarization factor, no thermal factor.

The 10 most intense peaks (5 to 70 degrees two-theta), in order of rising 2θ:
d/Å, 2θ (°), I/Imax
7.994, 11.1, 22
5.652, 15.7, 23
4.615, 19.2, 100
3.997, 22.2, 45
3.077, 29.0, 15
2.826, 31.7, 57
2.410, 37.3, 67
1.834, 49.7, 23
1.632, 56.4, 20
1.351, 69.6, 15

Structural model:
a = 11.3047 Å, b = 11.3047 Å, c = 11.3047 Å
α = 60.00°, β = 60.00°, γ = 60.00°
Atoms (fractional coordinates):
1 K 0.2500 0.2500 0.2500
2 K 0.7500 0.7500 0.7500
3 Na 0.0000 0.0000 0.3382
4 Na 0.0000 0.0000 0.6618
5 Na 0.0000 0.3382 0.0000
6 Na 0.0000 0.3382 0.6618
7 Na 0.0000 0.6618 0.0000
8 Na 0.0000 0.6618 0.3382
9 Na 0.1664 0.6112 0.6112
10 Na 0.3382 0.0000 0.0000
11 Na 0.3382 0.0000 0.6618
12 Na 0.3382 0.6618 0.0000
13 Na 0.3888 0.3888 0.3888
14 Na 0.3888 0.3888 0.8336
15 Na 0.3888 0.8336 0.3888
16 Na 0.6112 0.1664 0.6112
17 Na 0.6112 0.6112 0.1664
18 Na 0.6112 0.6112 0.6112
19 Na 0.6618 0.0000 0.0000
20 Na 0.6618 0.0000 0.3382
21 Na 0.6618 0.3382 0.0000
22 Na 0.8336 0.3888 0.3888
23 Hg 0.2674 0.2674 0.7326
24 Hg 0.2674 0.7326 0.2674
25 Hg 0.2674 0.7326 0.7326
26 Hg 0.7326 0.2674 0.2674
27 Hg 0.7326 0.2674 0.7326
28 Hg 0.7326 0.7326 0.2674

=====

Theoretical X-ray powder pattern
Compound: K3Na5Hg
Radiation: a wavelength of 1.5418 Å
Structure: the PBE geometry in Alexandria
Kinematic intensities with the Lorentz-polarization factor, no thermal factor.

The 10 most intense peaks (5 to 70 degrees two-theta), in order of rising 2θ:
d/Å, 2θ (°), I/Imax
8.306, 10.7, 100
4.796, 18.5, 30
4.308, 20.6, 41
4.153, 21.4, 29
3.474, 25.6, 26
3.205, 27.8, 64
3.140, 28.4, 20
2.769, 32.3, 27
2.665, 33.6, 54
1.782, 51.3, 24

Structural model:
a = 9.5915 Å, b = 9.5915 Å, c = 5.0392 Å
α = 90.00°, β = 90.00°, γ = 120.00°
Atoms (fractional coordinates):
1 K 0.0000 0.6106 0.0000
2 K 0.3894 0.3894 0.0000
3 K 0.6106 0.0000 0.0000
4 Na 0.0000 0.2273 0.5000
5 Na 0.2273 0.0000 0.5000
6 Na 0.3333 0.6667 0.5000
7 Na 0.6667 0.3333 0.5000
8 Na 0.7727 0.7727 0.5000
9 Hg 0.0000 0.0000 0.0000

=====

Theoretical X-ray powder pattern
Compound: K3Na3Hg2
Radiation: a wavelength of 1.5418 Å
Structure: the PBE geometry in Alexandria
Kinematic intensities with the Lorentz-polarization factor, no thermal factor.

The 10 most intense peaks (5 to 70 degrees two-theta), in order of rising 2θ:
d/Å, 2θ (°), I/Imax
9.965, 8.9, 100
6.465, 13.7, 25
5.067, 17.5, 16
4.983, 17.8, 17
3.670, 24.2, 15
3.337, 26.7, 13
3.011, 29.7, 26
2.783, 32.2, 24
2.681, 33.4, 24
2.643, 33.9, 13

Structural model:
a = 5.2866 Å, b = 6.5491 Å, c = 10.4266 Å
α = 98.85°, β = 104.51°, γ = 90.10°
Atoms (fractional coordinates):
1 K 0.0000 0.0000 0.0000
2 K 0.1651 0.5881 0.3296
3 K 0.8349 0.4119 0.6704
4 Na 0.3619 0.9041 0.7222
5 Na 0.5000 0.5000 0.0000
6 Na 0.6381 0.0959 0.2778
7 Hg 0.2281 0.1123 0.4580
8 Hg 0.7719 0.8877 0.5420

=====

Theoretical X-ray powder pattern
Compound: K17Na11Hg
Radiation: a wavelength of 1.5418 Å
Structure: the PBE geometry in Alexandria
Kinematic intensities with the Lorentz-polarization factor, no thermal factor.

The 10 most intense peaks (5 to 70 degrees two-theta), in order of rising 2θ:
d/Å, 2θ (°), I/Imax
10.792, 8.2, 81
10.001, 8.8, 68
7.334, 12.1, 36
5.909, 15.0, 37
3.600, 24.7, 87
3.443, 25.9, 90
3.360, 26.5, 100
3.203, 27.9, 43
3.096, 28.8, 56
3.040, 29.4, 24

Structural model:
a = 12.4412 Å, b = 12.4412 Å, c = 12.4063 Å
α = 107.20°, β = 107.20°, γ = 107.02°
Atoms (fractional coordinates):
1 K 0.0000 0.0000 0.0000
2 K 0.0024 0.6495 0.0044
3 K 0.0077 0.0077 0.6409
4 K 0.0145 0.4302 0.6664
5 K 0.0183 0.6713 0.4269
6 K 0.3008 0.3008 0.6953
7 K 0.3069 0.7010 0.2995
8 K 0.3087 0.3087 0.3028
9 K 0.3764 0.6215 0.6281
10 K 0.4302 0.0145 0.6664
11 K 0.4401 0.6701 0.0029
12 K 0.6215 0.3764 0.6281
13 K 0.6225 0.6225 0.3458
14 K 0.6495 0.0024 0.0044
15 K 0.6701 0.4401 0.0029
16 K 0.6713 0.0183 0.4269
17 K 0.7010 0.3069 0.2995
18 Na 0.1742 0.9878 0.3556
19 Na 0.1752 0.3603 0.9823
20 Na 0.2134 0.8292 0.8244
21 Na 0.3603 0.1752 0.9823
22 Na 0.3598 0.9866 0.1687
23 Na 0.6851 0.8607 0.6882
24 Na 0.8267 0.8267 0.1881
25 Na 0.8292 0.2134 0.8244
26 Na 0.8607 0.6851 0.6882
27 Na 0.9866 0.3598 0.1687
28 Na 0.9878 0.1742 0.3556
29 Hg 0.6954 0.6954 0.8683

=====

Theoretical X-ray powder pattern
Compound: KNaHgPd
Radiation: a wavelength of 1.5418 Å
Structure: the PBE geometry in Alexandria
Kinematic intensities with the Lorentz-polarization factor, no thermal factor.

The 10 most intense peaks (5 to 70 degrees two-theta), in order of rising 2θ:
d/Å, 2θ (°), I/Imax
5.851, 15.1, 100
4.088, 21.7, 22
3.791, 23.5, 43
3.035, 29.4, 38
2.925, 30.6, 21
2.694, 33.3, 24
2.427, 37.0, 60
2.242, 40.2, 56
1.868, 48.8, 35
1.520, 60.9, 20

Structural model:
a = 6.4871 Å, b = 6.4871 Å, c = 6.4871 Å
α = 43.94°, β = 43.94°, γ = 43.94°
Atoms (fractional coordinates):
1 K 0.0000 0.0000 0.0000
2 Na 0.1981 0.1981 0.1981
3 Hg 0.4608 0.4608 0.4608
4 Pd 0.7968 0.7968 0.7968

=====

Theoretical X-ray powder pattern
Compound: K2NaHgPt
Radiation: a wavelength of 1.5418 Å
Structure: the PBE geometry in Alexandria
Kinematic intensities with the Lorentz-polarization factor, no thermal factor.

The 10 most intense peaks (5 to 70 degrees two-theta), in order of rising 2θ:
d/Å, 2θ (°), I/Imax
6.208, 14.3, 100
4.390, 20.2, 37
3.104, 28.8, 37
2.776, 32.2, 30
2.441, 36.8, 21
2.272, 39.7, 14
2.195, 41.1, 14
2.018, 44.9, 22
1.919, 47.4, 21
1.692, 54.2, 12

Structural model:
a = 6.2078 Å, b = 6.2078 Å, c = 5.3099 Å
α = 90.00°, β = 90.00°, γ = 90.00°
Atoms (fractional coordinates):
1 K 0.0000 0.5000 0.0000
2 K 0.5000 0.0000 0.0000
3 Na 0.0000 0.0000 0.5000
4 Hg 0.5000 0.5000 0.5000
5 Pt 0.5000 0.5000 0.0000

=====

Theoretical X-ray powder pattern
Compound: K2Rb4Na2Hg
Radiation: a wavelength of 1.5418 Å
Structure: the PBE geometry in Alexandria
Kinematic intensities with the Lorentz-polarization factor, no thermal factor.

The 10 most intense peaks (5 to 70 degrees two-theta), in order of rising 2θ:
d/Å, 2θ (°), I/Imax
7.837, 11.3, 55
7.716, 11.5, 63
6.357, 13.9, 41
5.952, 14.9, 93
3.644, 24.4, 48
3.588, 24.8, 100
3.484, 25.6, 94
3.383, 26.3, 100
3.336, 26.7, 42
3.079, 29.0, 69

Structural model:
a = 8.4093 Å, b = 8.7815 Å, c = 8.8359 Å
α = 70.57°, β = 67.32°, γ = 77.31°
Atoms (fractional coordinates):
1 K 0.2171 0.3665 0.3150
2 K 0.7829 0.6335 0.6850
3 Rb 0.2488 0.8238 0.7443
4 Rb 0.2928 0.8564 0.2256
5 Rb 0.7072 0.1436 0.7744
6 Rb 0.7512 0.1762 0.2557
7 Na 0.1942 0.3295 0.8188
8 Na 0.8058 0.6705 0.1812
9 Hg 0.5000 0.5000 0.5000

=====

Theoretical X-ray powder pattern
Compound: K4Rb3Na3Hg2
Radiation: a wavelength of 1.5418 Å
Structure: the PBE geometry in Alexandria
Kinematic intensities with the Lorentz-polarization factor, no thermal factor.

The 10 most intense peaks (5 to 70 degrees two-theta), in order of rising 2θ:
d/Å, 2θ (°), I/Imax
15.543, 5.7, 50
8.335, 10.6, 100
7.772, 11.4, 22
5.045, 17.6, 27
3.948, 22.5, 34
3.353, 26.6, 80
3.320, 26.8, 37
3.283, 27.2, 37
2.916, 30.7, 32
2.025, 44.8, 18

Structural model:
a = 16.3349 Å, b = 16.3349 Å, c = 16.3349 Å
α = 162.01°, β = 35.82°, γ = 149.29°
Atoms (fractional coordinates):
1 K 0.0773 0.0000 0.0773
2 K 0.5049 0.6947 0.8102
3 K 0.8844 0.6947 0.1898
4 K 0.9227 0.0000 0.9227
5 Rb 0.0830 0.7520 0.3309
6 Rb 0.2976 0.7976 0.5000
7 Rb 0.4211 0.7520 0.6691
8 Na 0.5601 0.1477 0.4124
9 Na 0.6393 0.6393 0.0000
10 Na 0.7353 0.1477 0.5876
11 Hg 0.3395 0.4292 0.9103
12 Hg 0.5189 0.4292 0.0897